Ti4Mn2O: theoretical XRD peak list (Cu Kα, 1.54184 Å), based on a crystal structure in Alexandria, relaxed with PBE+U.
Peak positions follow from Bragg's law for the DFT cell and can differ from measured ones.

Largest 12 diffraction maxima, sorted by position, 2θ from 10° to 90°:
2θ/deg  I_rel
32.8  7.4
37.0  32.4
39.4  100.0
43.0  28.0
45.8  9.1
50.9  6.1
53.4  7.6
66.7  28.2
68.3  6.9
72.9  5.5
80.3  16.9
84.7  6.2

Cell and atoms:
```
Ti4Mn2O
1.0
0.000 5.946 5.946
5.946 0.000 5.946
5.946 5.946 0.000
Ti Mn O
16 8 4
direct
0.071 0.071 0.429 Ti
0.071 0.429 0.071 Ti
0.071 0.429 0.429 Ti
0.179 0.179 0.821 Ti
0.179 0.821 0.179 Ti
0.179 0.821 0.821 Ti
0.429 0.071 0.071 Ti
0.429 0.071 0.429 Ti
0.429 0.429 0.071 Ti
0.492 0.836 0.836 Ti
0.821 0.179 0.179 Ti
0.821 0.179 0.821 Ti
0.821 0.821 0.179 Ti
0.836 0.492 0.836 Ti
0.836 0.836 0.492 Ti
0.836 0.836 0.836 Ti
0.125 0.625 0.625 Mn
0.411 0.411 0.411 Mn
0.411 0.411 0.767 Mn
0.411 0.767 0.411 Mn
0.625 0.125 0.625 Mn
0.625 0.625 0.125 Mn
0.625 0.625 0.625 Mn
0.767 0.411 0.411 Mn
0.125 0.125 0.125 O
0.125 0.125 0.624 O
0.125 0.624 0.125 O
0.624 0.125 0.125 O
```